Record 1
Diffraction record for Na5Fe2P2C2O14. The PXRD pattern is theoretical, not measured: it uses a structure optimized by DFT (GGA+U) and Cu Ka.
Intensities are scaled so that the largest is 100.

Crystal structure
```
data_Na5Fe2P2C2O14
_chemical_formula_sum 'Na10 Fe4 P4 C4 O28'
_cell_length_a 9.0351
_cell_length_b 6.6170
_cell_length_c 10.5277
_cell_angle_alpha 90.00
_cell_angle_beta 91.44
_cell_angle_gamma 90.00
_symmetry_space_group_name_H-M 'P 1'
_symmetry_Int_Tables_number 1
loop_
_symmetry_equiv_pos_as_xyz
'x,y,z'
loop_
_atom_site_label
_atom_site_type_symbol
_atom_site_fract_x
_atom_site_fract_y
_atom_site_fract_z
Na1 Na 0.0735 0.0000 0.1166
Na2 Na 0.0908 0.0124 0.6143
Na3 Na 0.2617 0.7705 0.8635
Na4 Na 0.2708 0.7527 0.3858
Na5 Na 0.2727 0.2432 0.3772
Na6 Na 0.7273 0.7432 0.6228
Na7 Na 0.7292 0.2527 0.6142
Na8 Na 0.7383 0.2705 0.1365
Na9 Na 0.9092 0.5124 0.3857
Na10 Na 0.9265 0.5000 0.8834
Fe1 Fe 0.3446 0.4905 0.6235
Fe2 Fe 0.3517 0.4965 0.0986
Fe3 Fe 0.6483 0.9965 0.9014
Fe4 Fe 0.6554 0.9905 0.3765
P1 P 0.4154 0.0001 0.1393
P2 P 0.4229 0.9971 0.6459
P3 P 0.5771 0.4971 0.3541
P4 P 0.5846 0.5001 0.8607
C1 C 0.0521 0.5044 0.6336
C2 C 0.0780 0.4972 0.1444
C3 C 0.9220 0.9972 0.8556
C4 C 0.9479 0.0044 0.3664
O1 O 0.0579 0.9757 0.8330
O2 O 0.0914 0.9995 0.3619
O3 O 0.1175 0.4971 0.5239
O4 O 0.1285 0.5077 0.0290
O5 O 0.1330 0.5143 0.7366
O6 O 0.1811 0.5078 0.2356
O7 O 0.3190 0.1909 0.1096
O8 O 0.3222 0.8153 0.0918
O9 O 0.3225 0.1810 0.6140
O10 O 0.3229 0.8087 0.6208
O11 O 0.4339 0.5119 0.9283
O12 O 0.4371 0.4959 0.4340
O13 O 0.4430 0.9859 0.2851
O14 O 0.4705 0.9959 0.7907
O15 O 0.5295 0.4959 0.2093
O16 O 0.5570 0.4859 0.7149
O17 O 0.5629 0.9959 0.5660
O18 O 0.5661 0.0119 0.0717
O19 O 0.6771 0.3087 0.3792
O20 O 0.6775 0.6810 0.3860
O21 O 0.6778 0.3153 0.9082
O22 O 0.6810 0.6909 0.8904
O23 O 0.8189 0.0078 0.7644
O24 O 0.8670 0.0143 0.2634
O25 O 0.8715 0.0077 0.9710
O26 O 0.8825 0.9971 0.4761
O27 O 0.9086 0.4995 0.6381
O28 O 0.9421 0.4757 0.1670
```

Principal peaks in the range 15° ≤ 2θ ≤ 90°, by intensity:
| two_theta | I (rel.) |
| --- | --- |
| 26.95 | 100 |
| 33.60 | 75 |
| 34.08 | 55 |
| 19.74 | 43 |
| 19.31 | 42 |
| 33.37 | 39 |
| 29.65 | 36 |
| 16.61 | 33 |
| 55.55 | 28 |
| 25.67 | 27 |

Record 2
Diffraction record for Na5Fe2P2C2O14. The PXRD pattern is theoretical, not measured: it uses a structure optimized by DFT (GGA+U) and Cu Ka.
Intensities are scaled so that the largest is 100.

Crystal structure
```
data_Na5Fe2P2C2O14
_chemical_formula_sum 'Na10 Fe4 P4 C4 O28'
_cell_length_a 10.3469
_cell_length_b 6.6173
_cell_length_c 10.5664
_cell_angle_alpha 90.00
_cell_angle_beta 119.09
_cell_angle_gamma 90.00
_symmetry_space_group_name_H-M 'P 1'
_symmetry_Int_Tables_number 1
loop_
_symmetry_equiv_pos_as_xyz
'x,y,z'
loop_
_atom_site_label
_atom_site_type_symbol
_atom_site_fract_x
_atom_site_fract_y
_atom_site_fract_z
Na1 Na 0.0039 0.0000 0.2332
Na2 Na 0.1553 0.7712 0.5845
Na3 Na 0.3371 0.2676 0.9293
Na4 Na 0.4864 0.0275 0.2516
Na5 Na 0.4899 0.5234 0.2537
Na6 Na 0.5101 0.0234 0.7463
Na7 Na 0.5136 0.5275 0.7484
Na8 Na 0.6629 0.7676 0.0707
Na9 Na 0.8447 0.2712 0.4155
Na10 Na 0.9961 0.5000 0.7668
Fe1 Fe 0.2078 0.7782 0.0542
Fe2 Fe 0.2790 0.2837 0.4295
Fe3 Fe 0.7210 0.7837 0.5705
Fe4 Fe 0.7922 0.2782 0.9458
P1 P 0.1542 0.2782 0.0743
P2 P 0.3590 0.7768 0.4391
P3 P 0.6410 0.2768 0.5609
P4 P 0.8458 0.7782 0.9257
C1 C 0.1796 0.2795 0.6071
C2 C 0.3384 0.7662 0.8931
C3 C 0.6616 0.2662 0.1069
C4 C 0.8204 0.7795 0.3929
O1 O 0.0060 0.7924 0.0498
O2 O 0.0950 0.2695 0.4659
O3 O 0.1281 0.2951 0.6934
O4 O 0.1535 0.2657 0.2224
O5 O 0.1964 0.7459 0.8380
O6 O 0.2370 0.0913 0.0597
O7 O 0.2441 0.4633 0.0692
O8 O 0.2761 0.9635 0.4556
O9 O 0.2852 0.5874 0.4650
O10 O 0.3228 0.2746 0.6515
O11 O 0.3572 0.7742 0.2937
O12 O 0.3981 0.7744 0.8099
O13 O 0.4205 0.7798 0.0340
O14 O 0.4751 0.2823 0.4341
O15 O 0.5249 0.7823 0.5659
O16 O 0.5795 0.2798 0.9660
O17 O 0.6019 0.2745 0.1901
O18 O 0.6428 0.2742 0.7063
O19 O 0.6772 0.7746 0.3485
O20 O 0.7148 0.0874 0.5350
O21 O 0.7239 0.4635 0.5444
O22 O 0.7559 0.9633 0.9308
O23 O 0.7630 0.5913 0.9403
O24 O 0.8036 0.2459 0.1620
O25 O 0.8465 0.7657 0.7776
O26 O 0.8719 0.7951 0.3066
O27 O 0.9050 0.7695 0.5341
O28 O 0.9940 0.2924 0.9502
```

Principal peaks in the range 15° ≤ 2θ ≤ 90°, by intensity:
| two_theta | I (rel.) |
| --- | --- |
| 26.95 | 100 |
| 33.59 | 75 |
| 33.83 | 59 |
| 19.64 | 43 |
| 19.23 | 42 |
| 33.32 | 39 |
| 16.62 | 35 |
| 25.64 | 29 |
| 41.43 | 27 |
| 33.95 | 26 |

Record 3
Diffraction record for Na2FePCO7. The PXRD pattern is theoretical, not measured: it uses a structure optimized by DFT (GGA+U) and Cu Ka.
Intensities are scaled so that the largest is 100.

Crystal structure
```
data_Na2FePCO7
_chemical_formula_sum 'Na4 Fe2 P2 C2 O14'
_cell_length_a 5.2829
_cell_length_b 6.5820
_cell_length_c 9.0463
_cell_angle_alpha 90.00
_cell_angle_beta 91.70
_cell_angle_gamma 90.00
_symmetry_space_group_name_H-M 'P 1'
_symmetry_Int_Tables_number 1
loop_
_symmetry_equiv_pos_as_xyz
'x,y,z'
loop_
_atom_site_label
_atom_site_type_symbol
_atom_site_fract_x
_atom_site_fract_y
_atom_site_fract_z
Na1 Na 0.2358 0.0037 0.2760
Na2 Na 0.2358 0.4963 0.2760
Na3 Na 0.7642 0.5037 0.7240
Na4 Na 0.7642 0.9963 0.7240
Fe1 Fe 0.2135 0.2500 0.8589
Fe2 Fe 0.7865 0.7500 0.1411
P1 P 0.2793 0.7500 0.9283
P2 P 0.7207 0.2500 0.0717
C1 C 0.2727 0.2500 0.5830
C2 C 0.7273 0.7500 0.4170
O1 O 0.0481 0.2500 0.6407
O2 O 0.1520 0.7500 0.0815
O3 O 0.1984 0.5592 0.8395
O4 O 0.1984 0.9408 0.8395
O5 O 0.3113 0.2500 0.4467
O6 O 0.4253 0.2500 0.0455
O7 O 0.4592 0.2500 0.6846
O8 O 0.5408 0.7500 0.3154
O9 O 0.5747 0.7500 0.9545
O10 O 0.6887 0.7500 0.5533
O11 O 0.8016 0.0592 0.1605
O12 O 0.8016 0.4408 0.1605
O13 O 0.8480 0.2500 0.9185
O14 O 0.9519 0.7500 0.3593
```

Principal peaks in the range 15° ≤ 2θ ≤ 90°, by intensity:
| two_theta | I (rel.) |
| --- | --- |
| 16.66 | 100 |
| 25.55 | 90 |
| 33.71 | 87 |
| 27.09 | 68 |
| 33.95 | 60 |
| 33.43 | 45 |
| 21.58 | 40 |
| 23.95 | 39 |
| 26.33 | 36 |
| 33.80 | 35 |

Record 4
Diffraction record for Na3FePCO7. The PXRD pattern is theoretical, not measured: it uses a structure optimized by DFT (GGA+U) and Cu Ka.
Intensities are scaled so that the largest is 100.

Crystal structure
```
data_Na3FePCO7
_chemical_formula_sum 'Na6 Fe2 P2 C2 O14'
_cell_length_a 5.3028
_cell_length_b 6.7210
_cell_length_c 8.9976
_cell_angle_alpha 90.00
_cell_angle_beta 90.02
_cell_angle_gamma 90.00
_symmetry_space_group_name_H-M 'P 1'
_symmetry_Int_Tables_number 1
loop_
_symmetry_equiv_pos_as_xyz
'x,y,z'
loop_
_atom_site_label
_atom_site_type_symbol
_atom_site_fract_x
_atom_site_fract_y
_atom_site_fract_z
Na1 Na 0.0002 0.0000 0.9996
Na2 Na 0.9998 0.5000 0.0004
Na3 Na 0.0578 0.2513 0.6641
Na4 Na 0.4998 0.0008 0.5002
Na5 Na 0.5002 0.5008 0.4998
Na6 Na 0.9422 0.7513 0.3359
Fe1 Fe 0.4698 0.7504 0.7979
Fe2 Fe 0.5302 0.2504 0.2021
P1 P 0.4857 0.7505 0.1566
P2 P 0.5143 0.2505 0.8434
C1 C 0.0001 0.2504 0.3453
C2 C 0.9999 0.7504 0.6547
O1 O 0.0602 0.7498 0.7939
O2 O 0.1767 0.7506 0.5539
O3 O 0.1980 0.7500 0.1355
O4 O 0.2372 0.2508 0.3861
O5 O 0.3767 0.2512 0.9978
O6 O 0.4223 0.0656 0.7531
O7 O 0.4237 0.4354 0.7526
O8 O 0.5763 0.9354 0.2474
O9 O 0.5777 0.5656 0.2469
O10 O 0.6233 0.7512 0.0022
O11 O 0.7628 0.7508 0.6139
O12 O 0.8020 0.2500 0.8645
O13 O 0.8233 0.2506 0.4461
O14 O 0.9398 0.2498 0.2061
```

Principal peaks in the range 15° ≤ 2θ ≤ 90°, by intensity:
| two_theta | I (rel.) |
| --- | --- |
| 33.09 | 100 |
| 26.52 | 71 |
| 34.35 | 63 |
| 16.72 | 51 |
| 33.81 | 44 |
| 48.17 | 41 |
| 33.28 | 29 |
| 54.62 | 28 |
| 36.94 | 28 |
| 25.97 | 23 |

Record 5
Diffraction record for Na5Fe2P2C2O14. The PXRD pattern is theoretical, not measured: it uses a structure optimized by DFT (GGA+U) and Cu Ka.
Intensities are scaled so that the largest is 100.

Crystal structure
```
data_Na5Fe2P2C2O14
_chemical_formula_sum 'Na10 Fe4 P4 C4 O28'
_cell_length_a 8.4844
_cell_length_b 8.5013
_cell_length_c 8.9897
_cell_angle_alpha 90.06
_cell_angle_beta 91.25
_cell_angle_gamma 103.31
_symmetry_space_group_name_H-M 'P 1'
_symmetry_Int_Tables_number 1
loop_
_symmetry_equiv_pos_as_xyz
'x,y,z'
loop_
_atom_site_label
_atom_site_type_symbol
_atom_site_fract_x
_atom_site_fract_y
_atom_site_fract_z
Na1 Na 0.0043 0.2275 0.0740
Na2 Na 0.1131 0.6178 0.2630
Na3 Na 0.3583 0.8825 0.7346
Na4 Na 0.3776 0.3830 0.2738
Na5 Na 0.4950 0.7340 0.0913
Na6 Na 0.5050 0.2660 0.9087
Na7 Na 0.6224 0.6170 0.7262
Na8 Na 0.6417 0.1175 0.2654
Na9 Na 0.8869 0.3822 0.7370
Na10 Na 0.9957 0.7725 0.9260
Fe1 Fe 0.2265 0.9826 0.3556
Fe2 Fe 0.2587 0.5027 0.6582
Fe3 Fe 0.7413 0.4973 0.3418
Fe4 Fe 0.7735 0.0174 0.6444
P1 P 0.0182 0.2676 0.4141
P2 P 0.4889 0.2288 0.5746
P3 P 0.5111 0.7712 0.4254
P4 P 0.9818 0.7324 0.5859
C1 C 0.2423 0.4897 0.9486
C2 C 0.2776 0.0117 0.0769
C3 C 0.7224 0.9883 0.9231
C4 C 0.7577 0.5103 0.0514
O1 O 0.0628 0.8042 0.4399
O2 O 0.0877 0.1412 0.3266
O3 O 0.1053 0.6795 0.6934
O4 O 0.1345 0.3938 0.8653
O5 O 0.1591 0.4156 0.4524
O6 O 0.1585 0.9010 0.1307
O7 O 0.2358 0.4832 0.0921
O8 O 0.3079 0.0224 0.9394
O9 O 0.3452 0.0801 0.5368
O10 O 0.3590 0.5921 0.8833
O11 O 0.3623 0.1122 0.1766
O12 O 0.3844 0.8312 0.3245
O13 O 0.4298 0.3543 0.6702
O14 O 0.4372 0.7001 0.5720
O15 O 0.5628 0.2999 0.4280
O16 O 0.5702 0.6457 0.3298
O17 O 0.6156 0.1688 0.6755
O18 O 0.6377 0.8878 0.8234
O19 O 0.6410 0.4079 0.1167
O20 O 0.6548 0.9199 0.4632
O21 O 0.6921 0.9776 0.0606
O22 O 0.7642 0.5168 0.9079
O23 O 0.8415 0.0990 0.8693
O24 O 0.8409 0.5844 0.5476
O25 O 0.8655 0.6062 0.1347
O26 O 0.8947 0.3205 0.3066
O27 O 0.9123 0.8588 0.6734
O28 O 0.9372 0.1958 0.5601
```

Principal peaks in the range 15° ≤ 2θ ≤ 90°, by intensity:
| two_theta | I (rel.) |
| --- | --- |
| 26.77 | 100 |
| 34.04 | 58 |
| 19.69 | 43 |
| 19.37 | 42 |
| 33.24 | 39 |
| 33.33 | 37 |
| 25.82 | 27 |
| 41.76 | 25 |
| 55.16 | 25 |
| 34.16 | 25 |

Record 6
Diffraction record for Na5Fe2P2C2O14. The PXRD pattern is theoretical, not measured: it uses a structure optimized by DFT (GGA+U) and Cu Ka.
Intensities are scaled so that the largest is 100.

Crystal structure
```
data_Na5Fe2P2C2O14
_chemical_formula_sum 'Na10 Fe4 P4 C4 O28'
_cell_length_a 6.6198
_cell_length_b 8.9976
_cell_length_c 10.5750
_cell_angle_alpha 91.34
_cell_angle_beta 90.00
_cell_angle_gamma 91.06
_symmetry_space_group_name_H-M 'P 1'
_symmetry_Int_Tables_number 1
loop_
_symmetry_equiv_pos_as_xyz
'x,y,z'
loop_
_atom_site_label
_atom_site_type_symbol
_atom_site_fract_x
_atom_site_fract_y
_atom_site_fract_z
Na1 Na 0.0002 0.2314 0.3805
Na2 Na 0.9998 0.7686 0.6195
Na3 Na 0.0120 0.7599 0.1268
Na4 Na 0.2660 0.5839 0.3540
Na5 Na 0.2742 0.5819 0.8768
Na6 Na 0.4889 0.7750 0.6082
Na7 Na 0.5111 0.2250 0.3918
Na8 Na 0.7258 0.4181 0.1232
Na9 Na 0.7340 0.4161 0.6460
Na10 Na 0.9880 0.2401 0.8732
Fe1 Fe 0.2527 0.1644 0.6449
Fe2 Fe 0.2617 0.1406 0.1385
Fe3 Fe 0.7383 0.8594 0.8615
Fe4 Fe 0.7473 0.8356 0.3551
P1 P 0.2432 0.9262 0.8912
P2 P 0.2472 0.9144 0.3930
P3 P 0.7528 0.0856 0.6070
P4 P 0.7568 0.0738 0.1088
C1 C 0.2415 0.4197 0.1146
C2 C 0.2453 0.4529 0.6040
C3 C 0.7547 0.5471 0.3960
C4 C 0.7585 0.5803 0.8854
O1 O 0.0565 0.8230 0.8578
O2 O 0.0655 0.8142 0.3502
O3 O 0.2184 0.5582 0.1009
O4 O 0.2303 0.9567 0.5356
O5 O 0.2401 0.0731 0.8238
O6 O 0.2396 0.9570 0.0384
O7 O 0.2434 0.4011 0.7179
O8 O 0.2446 0.5940 0.5847
O9 O 0.2502 0.3580 0.5082
O10 O 0.2507 0.3252 0.0188
O11 O 0.2548 0.0617 0.3151
O12 O 0.2612 0.3606 0.2268
O13 O 0.4315 0.8310 0.8556
O14 O 0.4384 0.8212 0.3713
O15 O 0.5616 0.1788 0.6287
O16 O 0.5685 0.1690 0.1444
O17 O 0.7388 0.6394 0.7732
O18 O 0.7452 0.9383 0.6849
O19 O 0.7493 0.6748 0.9812
O20 O 0.7498 0.6420 0.4918
O21 O 0.7554 0.4060 0.4153
O22 O 0.7566 0.5989 0.2821
O23 O 0.7604 0.0430 0.9616
O24 O 0.7599 0.9269 0.1762
O25 O 0.7697 0.0433 0.4644
O26 O 0.7816 0.4418 0.8991
O27 O 0.9345 0.1858 0.6498
O28 O 0.9435 0.1770 0.1422
```

Principal peaks in the range 15° ≤ 2θ ≤ 90°, by intensity:
| two_theta | I (rel.) |
| --- | --- |
| 26.94 | 100 |
| 33.92 | 74 |
| 19.68 | 45 |
| 19.28 | 42 |
| 33.47 | 37 |
| 55.54 | 33 |
| 34.03 | 27 |
| 33.32 | 27 |
| 25.71 | 26 |
| 29.81 | 26 |

Record 7
Diffraction record for Na5Fe2P2C2O14. The PXRD pattern is theoretical, not measured: it uses a structure optimized by DFT (GGA+U) and Cu Ka.
Intensities are scaled so that the largest is 100.

Crystal structure
```
data_Na5Fe2P2C2O14
_chemical_formula_sum 'Na5 Fe2 P2 C2 O14'
_cell_length_a 5.3076
_cell_length_b 6.6168
_cell_length_c 9.0276
_cell_angle_alpha 89.08
_cell_angle_beta 88.66
_cell_angle_gamma 89.58
_symmetry_space_group_name_H-M 'P 1'
_symmetry_Int_Tables_number 1
loop_
_symmetry_equiv_pos_as_xyz
'x,y,z'
loop_
_atom_site_label
_atom_site_type_symbol
_atom_site_fract_x
_atom_site_fract_y
_atom_site_fract_z
Na1 Na 0.0000 0.0000 0.0000
Na2 Na 0.0014 0.4706 0.9877
Na3 Na 0.0401 0.6984 0.3602
Na4 Na 0.4923 0.2543 0.1906
Na5 Na 0.5059 0.9936 0.5209
Fe1 Fe 0.0308 0.2471 0.6086
Fe2 Fe 0.4711 0.7407 0.9121
P1 P 0.5366 0.2361 0.8448
P2 P 0.9714 0.7466 0.6871
C1 C 0.5420 0.7443 0.1905
C2 C 0.9706 0.2351 0.3181
O1 O 0.0146 0.5546 0.5984
O2 O 0.0417 0.9272 0.5848
O3 O 0.1258 0.7449 0.8333
O4 O 0.1921 0.2432 0.3771
O5 O 0.3125 0.7340 0.1382
O6 O 0.3984 0.2279 0.6994
O7 O 0.4596 0.0524 0.9509
O8 O 0.4606 0.4294 0.9373
O9 O 0.5866 0.7633 0.3260
O10 O 0.6879 0.7671 0.7385
O11 O 0.7246 0.7329 0.0880
O12 O 0.7726 0.2267 0.4041
O13 O 0.8279 0.2338 0.8225
O14 O 0.9495 0.2413 0.1745
```

Principal peaks in the range 15° ≤ 2θ ≤ 90°, by intensity:
| two_theta | I (rel.) |
| --- | --- |
| 26.95 | 100 |
| 33.80 | 77 |
| 33.55 | 58 |
| 19.61 | 48 |
| 19.21 | 42 |
| 25.62 | 31 |
| 33.92 | 29 |
| 33.33 | 26 |
| 55.56 | 25 |
| 29.67 | 24 |